# 1
Li4MnW3O12: simulated powder diffraction line list (Cu Kα, 1.54184 Å), based on the PBE+U geometry in the Materials Project.

```
Li4MnW3O12
1.0
7.129 0.000 0.000
-0.152 7.301 0.000
-3.489 -3.647 8.889
Li Mn W O
8 2 6 24
direct
0.000 0.000 0.000
0.065 0.565 0.630
0.254 0.754 0.508
0.324 0.324 0.147
0.500 0.500 0.000
0.565 0.065 0.630
0.754 0.254 0.508
0.824 0.824 0.147
0.370 0.869 0.238
0.870 0.369 0.239
0.115 0.114 0.729
0.205 0.205 0.410
0.472 0.971 0.942
0.615 0.614 0.729
0.705 0.705 0.410
0.972 0.471 0.943
0.011 0.195 0.908
0.073 0.386 0.762
0.098 0.949 0.269
0.172 0.319 0.269
0.189 0.876 0.763
0.235 0.574 0.074
0.242 0.097 0.593
0.340 0.999 0.074
0.352 0.497 0.593
0.400 0.213 0.908
0.469 0.782 0.443
0.474 0.161 0.444
0.511 0.695 0.908
0.573 0.886 0.762
0.597 0.449 0.269
0.673 0.819 0.269
0.689 0.376 0.763
0.735 0.075 0.074
0.742 0.597 0.593
0.840 0.499 0.074
0.852 0.997 0.593
0.900 0.713 0.908
0.969 0.282 0.443
0.974 0.661 0.444
```

The 10 most intense peaks (2θ = 10–90°), low angle first:
2theta  intensity
19.9  57
20.2  100
31.7  39
32.2  36
34.8  13
34.9  21
40.2  14
41.0  13
50.4  13
51.0  14


# 2
Li7VO4F2: simulated powder diffraction line list (Cu Kα, 1.54184 Å), based on the PBE+U geometry in the Materials Project.

```
Li7VO4F2
1.0
5.420 0.000 0.000
-2.702 5.303 0.000
-0.428 -2.581 9.243
Li V O F
14 2 8 4
direct
0.000 0.000 0.000
0.003 0.017 0.360
0.089 0.650 0.287
0.158 0.596 0.918
0.259 0.292 0.224
0.318 0.267 0.860
0.331 0.305 0.562
0.431 0.998 0.148
0.492 0.012 0.508
0.598 0.707 0.796
0.622 0.603 0.438
0.777 0.275 0.356
0.803 0.270 0.041
0.953 0.044 0.661
0.088 0.600 0.596
0.633 0.645 0.109
0.054 0.890 0.168
0.097 0.884 0.504
0.170 0.404 0.410
0.202 0.426 0.727
0.211 0.388 0.049
0.598 0.881 0.998
0.663 0.401 0.219
0.694 0.379 0.541
0.047 0.888 0.803
0.566 0.849 0.633
0.585 0.887 0.311
0.711 0.447 0.921
```

The 10 most intense peaks (2θ = 10–90°), low angle first:
2theta  intensity
17.4  93
19.2  68
19.5  65
20.1  54
21.6  51
22.2  53
22.4  51
35.9  100
37.8  70
38.0  75


# 3
Ba5Ti4MoO15: simulated powder diffraction line list (Cu Kα, 1.54184 Å), based on the PBE+U geometry in the Materials Project.

```
Ba5Ti4MoO15
1.0
2.877 -14.380 0.000
2.877 14.380 0.000
0.000 0.000 4.042
Ba Ti Mo O
5 4 1 15
direct
0.000 0.000 0.000
0.200 0.800 0.000
0.399 0.601 0.000
0.601 0.399 0.000
0.800 0.200 0.000
0.100 0.900 0.500
0.300 0.700 0.500
0.700 0.300 0.500
0.900 0.100 0.500
0.500 0.500 0.500
0.000 0.500 0.500
0.100 0.900 0.000
0.101 0.401 0.500
0.192 0.295 0.500
0.295 0.192 0.500
0.300 0.700 0.000
0.401 0.101 0.500
0.500 0.000 0.500
0.500 0.500 0.000
0.599 0.899 0.500
0.700 0.300 0.000
0.705 0.808 0.500
0.808 0.705 0.500
0.899 0.599 0.500
0.900 0.100 0.000
```

The 10 most intense peaks (2θ = 10–90°), low angle first:
2theta  intensity
21.8  12
31.1  50
31.2  100
38.4  29
44.5  34
44.8  17
55.4  39
55.6  19
65.1  20
73.7  17


# 4
MgMn4O8: simulated powder diffraction line list (Cu Kα, 1.54184 Å), based on the PBE+U geometry in the Materials Project.

```
MgMn4O8
1.0
-3.026 3.336 3.303
3.026 -3.336 3.303
3.026 3.336 -3.303
Mg Mn O
1 4 8
direct
0.000 0.000 0.000
0.004 0.713 0.291
0.408 0.408 0.000
0.422 0.713 0.709
0.699 0.199 0.500
0.137 0.422 0.716
0.211 0.473 0.262
0.211 0.949 0.738
0.292 0.999 0.293
0.706 0.422 0.284
0.706 0.999 0.707
0.709 0.524 0.815
0.709 0.894 0.185
```

The 10 most intense peaks (2θ = 10–90°), low angle first:
2theta  intensity
27.0  22
29.5  100
33.5  92
33.7  68
43.3  30
43.7  31
55.0  55
55.1  24
59.0  18
67.4  24


# 5
FeOF: simulated powder diffraction line list (Cu Kα, 1.54184 Å), based on the PBE+U geometry in the Materials Project.

```
FeOF
1.0
4.759 0.000 0.000
0.000 3.091 0.000
-0.535 0.000 14.293
Fe O F
6 6 6
direct
0.000 0.000 0.000
0.031 0.000 0.335
0.080 0.000 0.669
0.544 0.500 0.835
0.598 0.500 0.166
0.629 0.500 0.502
0.360 0.000 0.765
0.740 0.000 0.894
0.755 0.000 0.231
0.779 0.000 0.570
0.852 0.500 0.064
0.882 0.500 0.400
0.240 0.500 0.938
0.260 0.500 0.270
0.272 0.500 0.599
0.354 0.000 0.102
0.383 0.000 0.437
0.877 0.500 0.730
```

The 10 most intense peaks (2θ = 10–90°), low angle first:
2theta  intensity
26.0  96
27.0  90
34.6  100
39.2  18
39.9  17
51.6  57
52.7  49
59.9  18
66.2  22
66.3  25


Copy entry 5 word for word.
FeOF: simulated powder diffraction line list (Cu Kα, 1.54184 Å), based on the PBE+U geometry in the Materials Project.

```
FeOF
1.0
4.759 0.000 0.000
0.000 3.091 0.000
-0.535 0.000 14.293
Fe O F
6 6 6
direct
0.000 0.000 0.000
0.031 0.000 0.335
0.080 0.000 0.669
0.544 0.500 0.835
0.598 0.500 0.166
0.629 0.500 0.502
0.360 0.000 0.765
0.740 0.000 0.894
0.755 0.000 0.231
0.779 0.000 0.570
0.852 0.500 0.064
0.882 0.500 0.400
0.240 0.500 0.938
0.260 0.500 0.270
0.272 0.500 0.599
0.354 0.000 0.102
0.383 0.000 0.437
0.877 0.500 0.730
```

The 10 most intense peaks (2θ = 10–90°), low angle first:
2theta  intensity
26.0  96
27.0  90
34.6  100
39.2  18
39.9  17
51.6  57
52.7  49
59.9  18
66.2  22
66.3  25


Which formula does entry 4 have?
MgMn4O8


Number 2 is which compound?
Li7VO4F2